[1]
The following is a computed X-ray powder pattern of LiNbO3. It was derived from a crystal structure in the Materials Project, relaxed with PBE, using Cu Kα.
Lines closer than 0.1° are merged.

Largest 10 diffraction maxima, sorted by position, 10° ≤ 2θ ≤ 80°:
23.3°, I 100, hkl 1 1 3; 32.2°, I 39, hkl 0 1 5; 34.3°, I 22, hkl 2 1 1; 39.4°, I 8, hkl 1 1 7; 41.9°, I 12, hkl 0 0 8; 47.7°, I 12, hkl 2 2 6; 52.3°, I 23, hkl 2 3 3; 55.2°, I 15, hkl 3 2 4; 60.1°, I 12, hkl 1 0 -10; 61.4°, I 12, hkl 3 2 -4

Cell and atoms:
```
data_LiNbO3
_symmetry_space_group_name_H-M 'P 1'
_symmetry_Int_Tables_number 1
_symmetry_space_group_name_Hall 'P 1'
_cell_length_a 5.2315
_cell_length_b 5.5815
_cell_length_c 17.4592
_cell_angle_alpha 87.65
_cell_angle_beta 81.40
_cell_angle_gamma 62.14
loop_
_atom_site_label
_atom_site_fract_x
_atom_site_fract_y
_atom_site_fract_z
Li1 0.0000 0.0000 0.0000
Li2 0.0009 0.5001 0.4986
Li3 0.1410 0.0758 0.6423
Li4 0.2489 0.3749 0.1254
Li5 0.3950 0.4429 0.7647
Li6 0.5003 0.7501 0.2507
Li7 0.7460 0.6333 0.8751
Li8 0.7490 0.1242 0.3752
Nb1 0.0801 0.0282 0.8192
Nb2 0.0820 0.5161 0.3196
Nb3 0.3300 0.3942 0.9455
Nb4 0.3332 0.8906 0.4451
Nb5 0.5803 0.2756 0.5681
Nb6 0.5809 0.7672 0.0700
Nb7 0.8200 0.6618 0.6915
Nb8 0.8323 0.1412 0.1947
O1 0.0023 0.9010 0.7295
O2 0.0498 0.3812 0.7624
O3 0.0511 0.2562 0.3887
O4 0.0521 0.7564 0.8871
O5 0.0540 0.8816 0.2639
O6 0.1062 0.2298 0.9178
O7 0.1075 0.7289 0.4173
O8 0.1207 0.0429 0.1046
O9 0.1212 0.5183 0.6046
O10 0.4802 0.6701 0.9796
O11 0.4849 0.1648 0.4791
O12 0.4932 0.8349 0.7925
O13 0.4960 0.3533 0.2921
O14 0.5510 0.5061 0.1388
O15 0.5533 0.1330 0.0139
O16 0.5557 0.0003 0.6368
O17 0.5598 0.6223 0.5116
O18 0.6072 0.9783 0.1675
O19 0.6154 0.2972 0.8551
O20 0.6211 0.7930 0.3545
O21 0.6285 0.4603 0.6669
O22 0.9815 0.4174 0.2294
O23 0.9961 0.1055 0.5417
O24 0.9959 0.6066 0.0424
```

[2]
The following is a computed X-ray powder pattern of Nb2P4H3O16. It was derived from a crystal structure in the Materials Project, relaxed with PBE, using Cu Kα.
Lines closer than 0.1° are merged.

Largest 10 diffraction maxima, sorted by position, 10° ≤ 2θ ≤ 80°:
16.0°, I 87, hkl 0 1 -1; 16.4°, I 69, hkl 0 1 1; 21.6°, I 33, hkl 0 0 2; 21.8°, I 25, hkl -1 1 1; 23.9°, I 100, hkl 1 1 0; 24.6°, I 25, hkl 0 1 -2; 28.7°, I 80, hkl -1 2 1; 28.8°, I 43, hkl 1 -2 1; 32.3°, I 32, hkl 0 2 -2; 33.2°, I 32, hkl 0 2 2

Cell and atoms:
```
data_Nb2P4H3O16
_symmetry_space_group_name_H-M 'P 1'
_symmetry_Int_Tables_number 1
_symmetry_space_group_name_Hall 'P 1'
_cell_length_a 5.1216
_cell_length_b 7.5391
_cell_length_c 8.2238
_cell_angle_alpha 90.96
_cell_angle_beta 91.83
_cell_angle_gamma 103.53
loop_
_atom_site_label
_atom_site_fract_x
_atom_site_fract_y
_atom_site_fract_z
Nb1 0.0000 0.0000 0.0000
Nb2 0.4987 0.4954 0.5045
P1 0.1110 0.7608 0.3523
P2 0.3918 0.7423 0.8388
P3 0.6086 0.2554 0.1642
P4 0.8838 0.2270 0.6466
H1 0.1011 0.5481 0.9451
H2 0.4475 0.9768 0.4880
H3 0.8971 0.4456 0.0530
O1 0.0411 0.8091 0.1772
O2 0.1518 0.3404 0.5701
O3 0.1675 0.8443 0.8319
O4 0.2462 0.9355 0.4520
O5 0.2887 0.5548 0.9291
O6 0.3043 0.6290 0.3457
O7 0.3621 0.1474 0.0645
O8 0.4783 0.6902 0.6716
O9 0.5204 0.3077 0.3309
O10 0.6388 0.8495 0.9384
O11 0.7032 0.3719 0.6560
O12 0.7127 0.4435 0.0750
O13 0.7419 0.0624 0.5494
O14 0.8330 0.1536 0.1703
O15 0.8515 0.6575 0.4347
O16 0.9581 0.1897 0.8263
```

[3]
The following is a computed X-ray powder pattern of SrC2. It was derived from a crystal structure in the Materials Project, relaxed with PBE, using Cu Kα.
Lines closer than 0.1° are merged.

Largest 10 diffraction maxima, sorted by position, 10° ≤ 2θ ≤ 80°:
23.7°, I 43, hkl 0 0 2; 24.1°, I 22, hkl 1 1 0; 24.9°, I 57, hkl 1 1 -1; 26.5°, I 29, hkl 2 0 0; 28.7°, I 100, hkl 1 1 1; 29.6°, I 59, hkl 2 0 -2; 39.9°, I 35, hkl 1 1 -3; 42.6°, I 21, hkl 0 2 1; 43.4°, I 31, hkl 3 1 -1; 48.6°, I 21, hkl 0 0 4

Cell and atoms:
```
data_SrC2
_symmetry_space_group_name_H-M 'C 1 2/c 1'
_symmetry_Int_Tables_number 15
_symmetry_space_group_name_Hall '-C 2yc'
_cell_length_a 7.0874
_cell_length_b 4.4301
_cell_length_c 7.8990
_cell_angle_alpha 90.00
_cell_angle_beta 108.35
_cell_angle_gamma 90.00
loop_
_atom_site_label
_atom_site_fract_x
_atom_site_fract_y
_atom_site_fract_z
Sr1 0.0000 0.1796 0.2500
C1 0.2272 0.3507 0.9406
```

[4]
The following is a computed X-ray powder pattern of CoNiN. It was derived from a crystal structure in the Materials Project, relaxed with PBE, using Cu Kα.
Lines closer than 0.1° are merged.

Largest 9 diffraction maxima, sorted by position, 10° ≤ 2θ ≤ 80°:
24.1°, I 1, hkl 0 0 1; 32.6°, I 51, hkl 1 0 0; 40.9°, I 100, hkl 1 0 1; 49.3°, I 18, hkl 0 0 2; 58.1°, I 32, hkl 1 1 0; 60.4°, I 15, hkl 1 0 2; 68.2°, I 5, hkl 2 0 0; 73.5°, I 16, hkl 2 0 1; 79.6°, I 23, hkl 1 1 2

Cell and atoms:
```
data_CoNiN
_symmetry_space_group_name_H-M 'P -6 m 2'
_symmetry_Int_Tables_number 187
_symmetry_space_group_name_Hall 'P -6 2'
_cell_length_a 3.1762
_cell_length_b 3.1762
_cell_length_c 3.6942
_cell_angle_alpha 90.00
_cell_angle_beta 90.00
_cell_angle_gamma 120.00
loop_
_atom_site_label
_atom_site_fract_x
_atom_site_fract_y
_atom_site_fract_z
Co1 0.0000 0.0000 0.0000
Ni1 0.6667 0.3333 0.5000
N1 0.6667 0.3333 0.0000
```

[5]
The following is a computed X-ray powder pattern of Na6Ge2S7. It was derived from a crystal structure in the Materials Project, relaxed with PBE, using Cu Kα.
Lines closer than 0.1° are merged.

Largest 10 diffraction maxima, sorted by position, 10° ≤ 2θ ≤ 80°:
13.0°, I 40, hkl 1 1 0; 13.2°, I 37, hkl 1 1 -1; 15.9°, I 95, hkl 1 1 -2; 17.8°, I 48, hkl 0 2 1; 19.4°, I 67, hkl 1 1 2; 20.6°, I 39, hkl 2 0 -2; 30.4°, I 33, hkl 3 1 -1; 31.4°, I 100, hkl 1 3 -3; 34.9°, I 73, hkl 0 2 5; 46.6°, I 40, hkl 2 0 6

Cell and atoms:
```
data_Na6Ge2S7
_symmetry_space_group_name_H-M 'C 1 2/c 1'
_symmetry_Int_Tables_number 15
_symmetry_space_group_name_Hall '-C 2yc'
_cell_length_a 9.1841
_cell_length_b 10.5681
_cell_length_c 15.2421
_cell_angle_alpha 90.00
_cell_angle_beta 104.76
_cell_angle_gamma 90.00
loop_
_atom_site_label
_atom_site_fract_x
_atom_site_fract_y
_atom_site_fract_z
Na1 0.0000 0.0000 0.0000
Na2 0.0000 0.0787 0.2500
Na3 0.1147 0.3537 0.5735
Na4 0.2304 0.2222 0.8612
Ge1 0.1567 0.4186 0.3601
S1 0.0000 0.4616 0.7500
S2 0.0519 0.2431 0.3942
S3 0.1322 0.1251 0.6798
S4 0.1971 0.4372 0.9714
```

[6]
The following is a computed X-ray powder pattern of RbSrI3. It was derived from a crystal structure in the Materials Project, relaxed with PBE, using Cu Kα.
Lines closer than 0.1° are merged.

Largest 10 diffraction maxima, sorted by position, 10° ≤ 2θ ≤ 80°:
24.0°, I 41, hkl 1 1 2; 24.4°, I 85, hkl 0 2 3; 24.7°, I 80, hkl 1 3 0; 25.8°, I 100, hkl 1 3 1; 28.7°, I 60, hkl 1 3 2; 29.1°, I 73, hkl 0 0 4; 36.6°, I 79, hkl 0 6 2; 37.0°, I 43, hkl 2 0 0; 44.7°, I 41, hkl 1 3 5; 44.8°, I 34, hkl 2 2 3

Cell and atoms:
```
data_RbSrI3
_symmetry_space_group_name_H-M 'C m c m'
_symmetry_Int_Tables_number 63
_symmetry_space_group_name_Hall '-C 2c 2'
_cell_length_a 4.8645
_cell_length_b 16.0906
_cell_length_c 12.2746
_cell_angle_alpha 90.00
_cell_angle_beta 90.00
_cell_angle_gamma 90.00
loop_
_atom_site_label
_atom_site_fract_x
_atom_site_fract_y
_atom_site_fract_z
Rb1 0.0000 0.2486 0.2500
Sr1 0.0000 0.0000 0.0000
I1 0.0000 0.0754 0.7500
I2 0.0000 0.3653 0.5554
```

[7]
The following is a computed X-ray powder pattern of Mg2U4S2O27. It was derived from a crystal structure in the Materials Project, relaxed with PBE, using Cu Kα.
Lines closer than 0.1° are merged.

Largest 10 diffraction maxima, sorted by position, 10° ≤ 2θ ≤ 80°:
10.3°, I 19, hkl 0 0 1; 12.5°, I 100, hkl 0 2 0; 16.2°, I 16, hkl 0 2 1; 25.1°, I 22, hkl 0 4 0; 25.4°, I 27, hkl 2 0 1; 25.8°, I 26, hkl 2 0 -2; 28.4°, I 28, hkl 2 2 1; 28.7°, I 25, hkl 2 2 -2; 31.1°, I 15, hkl 0 0 3; 33.7°, I 17, hkl 0 2 3

Cell and atoms:
```
data_Mg2U4S2O27
_symmetry_space_group_name_H-M 'C 1 2/m 1'
_symmetry_Int_Tables_number 12
_symmetry_space_group_name_Hall '-C 2y'
_cell_length_a 8.7353
_cell_length_b 14.1989
_cell_length_c 8.8631
_cell_angle_alpha 90.00
_cell_angle_beta 103.47
_cell_angle_gamma 90.00
loop_
_atom_site_label
_atom_site_fract_x
_atom_site_fract_y
_atom_site_fract_z
Mg1 0.1484 0.0000 0.2068
U1 0.1669 0.2726 0.1692
S1 0.0000 0.2524 0.5000
O1 0.0000 0.0000 0.0000
O2 0.0172 0.0000 0.3880
O3 0.0745 0.3136 0.4010
O4 0.1044 0.2554 0.9133
O5 0.1107 0.5000 0.7372
O6 0.1182 0.1911 0.6029
O7 0.1671 0.1452 0.2232
O8 0.1739 0.3974 0.1353
O9 0.2154 0.5000 0.5347
```

[8]
The following is a computed X-ray powder pattern of BaSrYBiO6. It was derived from a crystal structure in the Materials Project, relaxed with PBE, using Cu Kα.
Lines closer than 0.1° are merged.

Largest 10 diffraction maxima, sorted by position, 10° ≤ 2θ ≤ 80°:
17.7°, I 14, hkl 1 1 1; 20.5°, I 6, hkl 2 0 0; 29.2°, I 100, hkl 2 2 0; 34.4°, I 8, hkl 3 1 1; 41.7°, I 30, hkl 4 0 0; 45.7°, I 4, hkl 3 3 1; 51.7°, I 42, hkl 4 2 2; 60.5°, I 19, hkl 4 4 0; 68.6°, I 18, hkl 6 2 0; 76.2°, I 6, hkl 4 4 4

Cell and atoms:
```
data_BaSrYBiO6
_symmetry_space_group_name_H-M 'F -4 3 m'
_symmetry_Int_Tables_number 216
_symmetry_space_group_name_Hall 'F -4 2 3'
_cell_length_a 8.6567
_cell_length_b 8.6567
_cell_length_c 8.6567
_cell_angle_alpha 90.00
_cell_angle_beta 90.00
_cell_angle_gamma 90.00
loop_
_atom_site_label
_atom_site_fract_x
_atom_site_fract_y
_atom_site_fract_z
Ba1 0.0000 0.0000 0.0000
Sr1 0.0000 0.0000 0.5000
Y1 0.2500 0.2500 0.2500
Bi1 0.2500 0.2500 0.7500
O1 0.0058 0.2500 0.7500
```